For Y2Ga3Cu12Ni, a cell relaxed with PBE gives the computed powder diffractogram in this record (CuKα).
Neutral-atom scattering factors, no anomalous dispersion.

Main lines, by angle (10° ≤ 2θ ≤ 90°):
2θ = 32.07°, d 2.791, I = 445; 2θ = 35.08°, d 2.558, I = 362; 2θ = 37.56°, d 2.395, I = 218; 2θ = 40.05°, d 2.251, I = 215; 2θ = 40.86°, d 2.208, I = 241; 2θ = 41.06°, d 2.198, I = 542; 2θ = 44.89°, d 2.019, I = 1000; 2θ = 46.18°, d 1.966, I = 281; 2θ = 47.60°, d 1.910, I = 490; 2θ = 72.08°, d 1.310, I = 372

Structure:
a = 5.2413 Å, b = 5.2413 Å, c = 35.3866 Å
α = 90.00°, β = 90.00°, γ = 120.00°
Space group R-3m (No. 166, hexagonal axes)
Asymmetric unit:
Y  0.0000  0.0000  0.1444 [6 per cell]
Ga  0.0000  0.5000  0.0000 [9 per cell]
Cu  0.0026  0.5013  0.1114 [18 per cell]
Cu  0.0144  0.5072  0.6096 [18 per cell]
Ni  0.0000  0.0000  0.5000 [3 per cell]